Na3CoSiBO7: calculated PXRD pattern (Cu Kα, 1.54184 Å), based on the PBE+U geometry in Alexandria.

Structural model:
Cell lengths 5.2321, 6.3330, 8.9847 Å; angles 90.00, 92.66, 90.00 degrees
Space group P2_1/m (No. 11)
Unique sites:
Na: 0.2307 0.2500 0.0828 (multiplicity 2)
Na: 0.2543 0.5125 0.7342 (multiplicity 4)
Co: 0.2145 0.7500 0.3315 (multiplicity 2)
Si: 0.2809 0.2500 0.4321 (multiplicity 2)
B: 0.2746 0.7500 0.0710 (multiplicity 2)
O: 0.0377 0.7500 0.1370 (multiplicity 2)
O: 0.1080 0.2500 0.5771 (multiplicity 2)
O: 0.2154 0.0509 0.3156 (multiplicity 4)
O: 0.3120 0.7500 0.9250 (multiplicity 2)
O: 0.4100 0.7500 0.5211 (multiplicity 2)
O: 0.4666 0.7500 0.1853 (multiplicity 2)

Most intense lines, 10 to 80 degrees two-theta, by angle:
two_theta, I (rel.)
17.1, 56.5
20.1, 30.4
28.2, 66.4
34.3, 100.0
34.7, 34.3
34.8, 36.4